Structure and calculated powder X-ray diffraction pattern of Nd2NbS5 (a DFT-relaxed cell (GGA-PBE, Alexandria); CuKα).

abc: 6.928 6.928 7.750
angles: 90.00 90.00 90.00
Space group I4mm (No. 107)
Unique sites:
Nd1 0.000 0.500 0.000 x4
Nb1 0.000 0.000 0.169 x2
S1 0.000 0.000 0.893 x2
S2 0.245 0.245 0.224 x8

Peak list (8 most intense, 2θ from 10° to 90°, in order of falling intensity)
- 29.39°, d = 3.039 Å, I = 100
- 34.74°, d = 2.582 Å, I = 78
- 36.69°, d = 2.449 Å, I = 74
- 47.69°, d = 1.907 Å, I = 52
- 25.72°, d = 3.464 Å, I = 49
- 18.11°, d = 4.899 Å, I = 35
- 17.17°, d = 5.165 Å, I = 34
- 50.67°, d = 1.802 Å, I = 27

---

Structure and calculated powder X-ray diffraction pattern of BaNaPu4N8 (a DFT-relaxed cell (GGA-PBE, Alexandria); CuKα).

abc: 6.9074 6.9074 16.8796
angles: 90.00 90.00 120.00
Space group R3m (No. 160, hexagonal axes)
Unique sites:
Ba1 0.0000 0.0000 0.0000 x3
Na1 0.0000 0.0000 0.3818 x3
Pu1 0.0000 0.0000 0.7663 x3
Pu2 0.0037 0.5018 0.8799 x9
N1 0.0000 0.0000 0.1539 x3
N2 0.0000 0.0000 0.6173 x3
N3 0.0181 0.5091 0.1487 x9
N4 0.1971 0.3943 0.9400 x9

Peak list (8 most intense, 2θ from 10° to 90°, in order of falling intensity)
- 30.36°, d = 2.944 Å, I = 100
- 53.07°, d = 1.726 Å, I = 34
- 48.47°, d = 1.878 Å, I = 33
- 25.83°, d = 3.449 Å, I = 32
- 31.75°, d = 2.818 Å, I = 29
- 15.75°, d = 5.627 Å, I = 26
- 74.69°, d = 1.271 Å, I = 20
- 45.51°, d = 1.993 Å, I = 13

---

Structure and calculated powder X-ray diffraction pattern of NaErTcO5 (a DFT-relaxed cell (GGA-PBE, Alexandria); CuKα).

abc: 7.258 9.664 7.937
angles: 90.00 111.43 90.00
Space group C2/c (No. 15)
Unique sites:
Na1 0.000 0.188 0.250 x4
Er1 0.000 0.500 0.000 x4
Tc1 0.000 0.168 0.750 x4
O1 0.000 0.419 0.250 x4
O2 0.099 0.283 0.628 x8
O3 0.166 0.054 0.914 x8

Peak list (8 most intense, 2θ from 10° to 90°, in order of falling intensity)
- 24.64°, d = 3.613 Å, I = 100
- 30.75°, d = 2.908 Å, I = 75
- 26.38°, d = 3.378 Å, I = 73
- 30.46°, d = 2.935 Å, I = 63
- 16.01°, d = 5.537 Å, I = 62
- 49.36°, d = 1.846 Å, I = 38
- 39.63°, d = 2.274 Å, I = 29
- 32.93°, d = 2.720 Å, I = 27

---

Structure and calculated powder X-ray diffraction pattern of Ho5Si4 (a DFT-relaxed cell (GGA-PBE, Alexandria); CuKα).

abc: 7.398 14.502 7.657
angles: 90.00 90.00 90.00
Space group Pnma (No. 62)
Unique sites:
Ho1 0.029 0.098 0.183 x8
Ho2 0.148 0.750 0.512 x4
Ho3 0.183 0.123 0.680 x8
Si1 0.020 0.750 0.104 x4
Si2 0.146 0.540 0.472 x8
Si3 0.234 0.250 0.373 x4

Peak list (8 most intense, 2θ from 10° to 90°, in order of falling intensity)
- 32.65°, d = 2.743 Å, I = 100
- 34.06°, d = 2.632 Å, I = 72
- 32.19°, d = 2.781 Å, I = 66
- 27.48°, d = 3.246 Å, I = 50
- 30.43°, d = 2.938 Å, I = 50
- 57.89°, d = 1.593 Å, I = 47
- 34.27°, d = 2.617 Å, I = 45
- 37.23°, d = 2.415 Å, I = 39

---

Structure and calculated powder X-ray diffraction pattern of CdPdPt14 (a DFT-relaxed cell (GGA-PBE, Alexandria); CuKα).

abc: 9.377 5.577 9.715
angles: 90.00 90.00 90.00
Space group Amm2 (No. 38)
Unique sites:
Cd1 0.000 0.000 0.000 x2
Pd1 0.000 0.000 0.500 x2
Pt1 0.000 0.249 0.751 x4
Pt2 0.248 0.000 0.665 x4
Pt3 0.250 0.000 0.166 x4
Pt4 0.251 0.249 0.414 x8
Pt5 0.500 0.000 0.329 x2
Pt6 0.500 0.000 0.830 x2
Pt7 0.500 0.250 0.080 x4

Peak list (8 most intense, 2θ from 10° to 90°, in order of falling intensity)
- 42.04°, d = 2.149 Å, I = 100
- 38.42°, d = 2.343 Å, I = 95
- 41.89°, d = 2.156 Å, I = 55
- 79.78°, d = 1.202 Å, I = 28
- 66.81°, d = 1.400 Å, I = 22
- 47.54°, d = 1.913 Å, I = 21
- 71.94°, d = 1.313 Å, I = 21
- 80.07°, d = 1.199 Å, I = 18

---

Structure and calculated powder X-ray diffraction pattern of Li5Br (a DFT-relaxed cell (GGA-PBE, Alexandria); CuKα).

abc: 11.611 3.732 6.528
angles: 90.00 117.29 90.00
Space group Cm (No. 8)
Unique sites:
Li1 0.000 0.000 0.000 x2
Li2 0.028 0.000 0.495 x2
Li3 0.173 0.500 0.876 x2
Li4 0.213 0.500 0.385 x2
Li5 0.353 0.000 0.177 x2
Br1 0.418 0.000 0.642 x2

Peak list (8 most intense, 2θ from 10° to 90°, in order of falling intensity)
- 15.27°, d = 5.802 Å, I = 100
- 16.97°, d = 5.224 Å, I = 85
- 17.19°, d = 5.160 Å, I = 82
- 27.56°, d = 3.237 Å, I = 79
- 25.38°, d = 3.509 Å, I = 60
- 30.81°, d = 2.902 Å, I = 37
- 35.49°, d = 2.529 Å, I = 36
- 37.00°, d = 2.430 Å, I = 36

---

Structure and calculated powder X-ray diffraction pattern of Na5B7C3 (a DFT-relaxed cell (GGA-PBE, Alexandria); CuKα).

abc: 23.070 2.830 9.981
angles: 90.00 107.10 90.00
Space group Cm (No. 8)
Unique sites:
Na1 0.000 0.000 0.000 x2
Na2 0.000 0.500 0.495 x2
Na3 0.100 0.000 0.696 x2
Na4 0.100 0.500 0.199 x2
Na5 0.198 0.000 0.398 x2
Na6 0.200 0.500 0.897 x2
Na7 0.297 0.500 0.598 x2
Na8 0.300 0.000 0.093 x2
Na9 0.398 0.000 0.800 x2
Na10 0.400 0.500 0.295 x2
B1 0.019 0.000 0.285 x2
B2 0.020 0.500 0.787 x2
B3 0.084 0.500 0.916 x2
B4 0.116 0.500 0.477 x2
B5 0.124 0.000 0.995 x2
B6 0.191 0.000 0.129 x2
B7 0.212 0.000 0.673 x2
B8 0.282 0.500 0.313 x2
B9 0.309 0.500 0.868 x2
B10 0.372 0.000 0.494 x2
B11 0.381 0.500 0.013 x2
B12 0.413 0.500 0.576 x2
B13 0.423 0.000 0.094 x2
B14 0.477 0.500 0.702 x2
C1 0.084 0.000 0.413 x2
C2 0.181 0.500 0.608 x2
C3 0.220 0.500 0.188 x2
C4 0.277 0.000 0.804 x2
C5 0.312 0.000 0.375 x2
C6 0.486 0.000 0.220 x2

Peak list (8 most intense, 2θ from 10° to 90°, in order of falling intensity)
- 42.14°, d = 2.144 Å, I = 100
- 40.97°, d = 2.203 Å, I = 36
- 36.24°, d = 2.479 Å, I = 13
- 63.49°, d = 1.465 Å, I = 12
- 77.08°, d = 1.237 Å, I = 9
- 34.93°, d = 2.569 Å, I = 8
- 80.71°, d = 1.191 Å, I = 7
- 56.81°, d = 1.621 Å, I = 7